No. 1
# Rb2InAgBr6
Simulated XRD peak list, Cu Kα (weighted mean of Kα1 and Kα2). Input: a cell relaxed with GGA-PBE.
Peak positions follow from Bragg's law for the DFT cell and can differ from measured ones.

Atomic structure:
Cell lengths 7.8203, 7.8203, 7.8203 Å; angles 60.00, 60.00, 60.00 degrees
Fractional coordinates of all 10 atoms:
Rb  0.2500  0.2500  0.2500
Rb  0.7500  0.7500  0.7500
In  0.0000  0.0000  0.0000
Ag  0.5000  0.5000  0.5000
Br  0.2459  0.2459  0.7541
Br  0.2459  0.7541  0.2459
Br  0.2459  0.7541  0.7541
Br  0.7541  0.2459  0.2459
Br  0.7541  0.2459  0.7541
Br  0.7541  0.7541  0.2459

Main lines, by intensity (10 to 80 degrees two-theta):
- 2θ = 32.38°, intensity 100
- 2θ = 46.45°, intensity 71
- 2θ = 27.95°, intensity 47
- 2θ = 22.74°, intensity 35
- 2θ = 16.03°, intensity 34
- 2θ = 77.14°, intensity 31

No. 2
# Rb2InAgBr6
Simulated XRD peak list, Cu Kα (weighted mean of Kα1 and Kα2). Input: a cell relaxed with GGA-PBE.
Peak positions follow from Bragg's law for the DFT cell and can differ from measured ones.

Atomic structure:
Cell lengths 7.6634, 7.6634, 7.6634 Å; angles 61.95, 61.95, 61.95 degrees
Fractional coordinates of all 10 atoms:
Rb  0.0000  0.0000  0.0000
Rb  0.4973  0.4973  0.4973
In  0.7491  0.7491  0.7491
Ag  0.2496  0.2496  0.2496
Br  0.0538  0.5096  0.9342
Br  0.4437  0.9870  0.5644
Br  0.5096  0.9342  0.0538
Br  0.5644  0.4437  0.9870
Br  0.9342  0.0538  0.5096
Br  0.9870  0.5644  0.4437

Main lines, by intensity (10 to 80 degrees two-theta):
- 2θ = 32.60°, intensity 100
- 2θ = 16.13°, intensity 34
- 2θ = 47.50°, intensity 34
- 2θ = 26.84°, intensity 28
- 2θ = 27.84°, intensity 28
- 2θ = 23.23°, intensity 25

No. 3
# K2TcAgBr6
Simulated XRD peak list, Cu Kα (weighted mean of Kα1 and Kα2). Input: a cell relaxed with GGA-PBE.
Peak positions follow from Bragg's law for the DFT cell and can differ from measured ones.

Atomic structure:
Cell lengths 7.6287, 7.6287, 7.6287 Å; angles 60.00, 60.00, 60.00 degrees
Fractional coordinates of all 10 atoms:
K  0.2500  0.2500  0.2500
K  0.7500  0.7500  0.7500
Tc  0.0000  0.0000  0.0000
Ag  0.5000  0.5000  0.5000
Br  0.2390  0.2390  0.7610
Br  0.2390  0.7610  0.2390
Br  0.2390  0.7610  0.7610
Br  0.7610  0.2390  0.2390
Br  0.7610  0.2390  0.7610
Br  0.7610  0.7610  0.2390

Main lines, by intensity (10 to 80 degrees two-theta):
- 2θ = 33.22°, intensity 100
- 2θ = 16.43°, intensity 81
- 2θ = 47.68°, intensity 69
- 2θ = 28.66°, intensity 41
- 2θ = 37.27°, intensity 41
- 2θ = 79.45°, intensity 28

No. 4
# LiAgBr2
Simulated XRD peak list, Cu Kα (weighted mean of Kα1 and Kα2). Input: a cell relaxed with GGA-PBE.
Peak positions follow from Bragg's law for the DFT cell and can differ from measured ones.

Atomic structure:
Cell lengths 4.2910, 4.2910, 6.0561 Å; angles 90.00, 90.00, 90.00 degrees
Fractional coordinates of all 4 atoms:
Li  0.0000  0.0000  0.0000
Ag  0.5000  0.5000  0.5000
Br  0.0000  0.5000  0.2261
Br  0.5000  0.0000  0.7739

Main lines, by intensity (10 to 80 degrees two-theta):
- 2θ = 25.44°, intensity 100
- 2θ = 42.15°, intensity 72
- 2θ = 49.87°, intensity 44
- 2θ = 20.70°, intensity 23
- 2θ = 33.02°, intensity 22
- 2θ = 77.04°, intensity 22

No. 5
# Rb2MgAgBr6
Simulated XRD peak list, Cu Kα (weighted mean of Kα1 and Kα2). Input: a cell relaxed with GGA-PBE.
Peak positions follow from Bragg's law for the DFT cell and can differ from measured ones.

Atomic structure:
Cell lengths 7.6699, 7.6699, 7.6699 Å; angles 60.00, 60.00, 60.00 degrees
Fractional coordinates of all 10 atoms:
Rb  0.2500  0.2500  0.2500
Rb  0.7500  0.7500  0.7500
Mg  0.0000  0.0000  0.0000
Ag  0.5000  0.5000  0.5000
Br  0.2464  0.2464  0.7536
Br  0.2464  0.7536  0.2464
Br  0.2464  0.7536  0.7536
Br  0.7536  0.2464  0.2464
Br  0.7536  0.2464  0.7536
Br  0.7536  0.7536  0.2464

Main lines, by intensity (10 to 80 degrees two-theta):
- 2θ = 33.03°, intensity 100
- 2θ = 28.51°, intensity 85
- 2θ = 47.41°, intensity 70
- 2θ = 56.26°, intensity 36
- 2θ = 78.94°, intensity 31
- 2θ = 59.00°, intensity 24

No. 6
# AgMoBr6
Simulated XRD peak list, Cu Kα (weighted mean of Kα1 and Kα2). Input: a cell relaxed with GGA-PBE.
Peak positions follow from Bragg's law for the DFT cell and can differ from measured ones.

Atomic structure:
Cell lengths 7.1740, 7.1740, 7.1740 Å; angles 60.00, 60.00, 60.00 degrees
Fractional coordinates of all 8 atoms:
Ag  0.0000  0.0000  0.0000
Mo  0.7500  0.7500  0.7500
Br  0.5035  0.5035  0.9965
Br  0.5035  0.9965  0.5035
Br  0.5035  0.9965  0.9965
Br  0.9965  0.5035  0.5035
Br  0.9965  0.5035  0.9965
Br  0.9965  0.9965  0.5035

Main lines, by intensity (10 to 80 degrees two-theta):
- 2θ = 30.52°, intensity 100
- 2θ = 35.39°, intensity 96
- 2θ = 50.92°, intensity 66
- 2θ = 15.13°, intensity 52
- 2θ = 60.53°, intensity 40
- 2θ = 29.19°, intensity 28